# 1
Simulated powder X-ray diffraction pattern
Compound: Mg8AlAu2
Radiation: Cu Ka
Structure: a DFT-relaxed cell (PBE, Alexandria)
Intensities are scaled so that the largest is 100.

Structural model:
```
data_Mg8AlAu2
_chemical_formula_sum 'Mg8 Al1 Au2'
_symmetry_space_group_name_H-M 'P 1'
_symmetry_Int_Tables_number 1
_cell_length_a 4.663
_cell_length_b 6.628
_cell_length_c 8.334
_cell_angle_alpha 112.95
_cell_angle_beta 105.49
_cell_angle_gamma 90.04
loop_
_symmetry_equiv_pos_as_xyz
'x,y,z'
loop_
_atom_site_label
_atom_site_type_symbol
_atom_site_fract_x
_atom_site_fract_y
_atom_site_fract_z
Mg1 Mg 0.000 0.000 0.000
Mg2 Mg 0.036 0.564 0.075
Mg3 Mg 0.206 0.067 0.412
Mg4 Mg 0.370 0.891 0.736
Mg5 Mg 0.409 0.392 0.816
Mg6 Mg 0.600 0.272 0.201
Mg7 Mg 0.699 0.768 0.398
Mg8 Mg 0.816 0.505 0.631
Al1 Al 0.203 0.495 0.407
Au1 Au 0.535 0.820 0.074
Au2 Au 0.863 0.143 0.719
```

Principal peaks in the range 2θ = 10–90°, by angle:
12.1°, rel. 39, hkl 0 0 1
14.7°, rel. 72, hkl 0 1 0
22.5°, rel. 63, hkl 0 1 1
22.7°, rel. 63, hkl 0 1 -2
23.3°, rel. 100, hkl 1 1 -1
26.2°, rel. 55, hkl 1 0 1
26.6°, rel. 43, hkl 1 0 -2
38.0°, rel. 70, hkl -1 2 1
38.6°, rel. 44, hkl 2 0 -1
45.4°, rel. 44, hkl 1 3 -2


# 2
Simulated powder X-ray diffraction pattern
Compound: TmThTlOs
Radiation: Cu Ka
Structure: a DFT-relaxed cell (PBE, Alexandria)
Intensities are scaled so that the largest is 100.

Structural model:
```
data_TmThTlOs
_chemical_formula_sum 'Tm1 Th1 Tl1 Os1'
_symmetry_space_group_name_H-M 'P 4 m m'
_symmetry_Int_Tables_number 99
_cell_length_a 3.404
_cell_length_b 3.404
_cell_length_c 8.483
_cell_angle_alpha 90.00
_cell_angle_beta 90.00
_cell_angle_gamma 90.00
loop_
_symmetry_equiv_pos_as_xyz
'x,y,z'
'-y,x,z'
'-x,-y,z'
'y,-x,z'
'-x,y,z'
'y,x,z'
'x,-y,z'
'-y,-x,z'
loop_
_atom_site_label
_atom_site_type_symbol
_atom_site_fract_x
_atom_site_fract_y
_atom_site_fract_z
Tm1 Tm 0.000 0.000 0.000
Th1 Th 0.000 0.000 0.411
Tl1 Tl 0.500 0.500 0.720
Os1 Os 0.500 0.500 0.197
```

Principal peaks in the range 2θ = 10–90°, by angle:
10.4°, rel. 7, hkl 0 0 1
33.8°, rel. 100, hkl 1 0 2
37.4°, rel. 45, hkl 1 1 0
41.5°, rel. 9, hkl 1 0 3
42.6°, rel. 8, hkl 0 0 4
49.7°, rel. 7, hkl 1 1 3
53.9°, rel. 16, hkl 2 0 0
58.0°, rel. 12, hkl 1 1 4
65.1°, rel. 31, hkl 2 1 2
89.4°, rel. 7, hkl 3 0 2


# 3
Simulated powder X-ray diffraction pattern
Compound: CsK2Tl6
Radiation: Cu Ka
Structure: a DFT-relaxed cell (PBE, Alexandria)
Intensities are scaled so that the largest is 100.

Structural model:
```
data_CsK2Tl6
_chemical_formula_sum 'Cs1 K2 Tl6'
_symmetry_space_group_name_H-M 'P 6/m m m'
_symmetry_Int_Tables_number 191
_symmetry_space_group_name_Hall '-P 6 2'
_cell_length_a 9.6991
_cell_length_b 9.6991
_cell_length_c 4.0455
_cell_angle_alpha 90.00
_cell_angle_beta 90.00
_cell_angle_gamma 120.00
loop_
_atom_site_label
_atom_site_type_symbol
_atom_site_fract_x
_atom_site_fract_y
_atom_site_fract_z
Cs1 Cs 0.0000 0.0000 0.0000
K1 K 0.3333 0.6667 0.0000
Tl1 Tl 0.0000 0.3392 0.5000
```

Principal peaks in the range 2θ = 10–90°, by angle:
18.3°, rel. 28, hkl 1 1 0
22.0°, rel. 41, hkl 0 0 1
28.7°, rel. 88, hkl 1 1 1
32.0°, rel. 100, hkl 3 0 0
39.1°, rel. 57, hkl 3 0 1
43.5°, rel. 28, hkl 2 2 1
55.0°, rel. 28, hkl 4 1 1
56.1°, rel. 41, hkl 3 0 2
57.0°, rel. 19, hkl 3 3 0
75.2°, rel. 17, hkl 3 3 2


# 4
Simulated powder X-ray diffraction pattern
Compound: KHS5
Radiation: Cu Ka
Structure: a DFT-relaxed cell (PBE, Alexandria)
Intensities are scaled so that the largest is 100.

Structural model:
```
data_KHS5
_chemical_formula_sum 'K4 H4 S20'
_symmetry_space_group_name_H-M 'C 1 2/c 1'
_symmetry_Int_Tables_number 15
_cell_length_a 8.189
_cell_length_b 19.337
_cell_length_c 5.369
_cell_angle_alpha 90.00
_cell_angle_beta 113.65
_cell_angle_gamma 90.00
loop_
_symmetry_equiv_pos_as_xyz
'x,y,z'
'-x,-y,-z'
'-x,y,-z+1/2'
'x,-y,z+1/2'
'x+1/2,y+1/2,z'
'-x+1/2,-y+1/2,-z'
'-x+1/2,y+1/2,-z+1/2'
'x+1/2,-y+1/2,z+1/2'
loop_
_atom_site_label
_atom_site_type_symbol
_atom_site_fract_x
_atom_site_fract_y
_atom_site_fract_z
K1 K 0.250 0.250 0.000
H1 H 0.000 0.034 0.250
S1 S 0.000 0.156 0.250
S2 S 0.059 0.345 0.456
S3 S 0.190 0.075 0.386
```

Principal peaks in the range 2θ = 10–90°, by angle:
17.8°, rel. 32, hkl 1 1 -1
20.3°, rel. 22, hkl 0 2 1
22.0°, rel. 100, hkl 1 3 -1
25.8°, rel. 16, hkl 1 1 1
28.9°, rel. 29, hkl 1 5 -1
30.2°, rel. 21, hkl 2 4 0
33.4°, rel. 20, hkl 3 1 -1
33.8°, rel. 18, hkl 1 1 -2
34.7°, rel. 16, hkl 2 0 -2
36.8°, rel. 43, hkl 2 6 0


# 5
Simulated powder X-ray diffraction pattern
Compound: U2Si3Ni2
Radiation: Cu Ka
Structure: a DFT-relaxed cell (PBE, Alexandria)
Intensities are scaled so that the largest is 100.

Structural model:
```
data_U2Si3Ni2
_chemical_formula_sum 'U8 Si12 Ni8'
_symmetry_space_group_name_H-M 'C m c m'
_symmetry_Int_Tables_number 63
_symmetry_space_group_name_Hall '-C 2c 2'
_cell_length_a 4.170
_cell_length_b 17.173
_cell_length_c 6.390
_cell_angle_alpha 90.00
_cell_angle_beta 90.00
_cell_angle_gamma 90.00
loop_
_atom_site_label
_atom_site_type_symbol
_atom_site_fract_x
_atom_site_fract_y
_atom_site_fract_z
U1 U 0.000 0.048 0.250
U2 U 0.000 0.157 0.750
Si1 Si 0.000 0.218 0.250
Si2 Si 0.000 0.436 0.064
Ni1 Ni 0.000 0.306 0.552
```

Principal peaks in the range 2θ = 10–90°, by angle:
21.9°, rel. 44, hkl 1 1 0
25.0°, rel. 46, hkl 0 4 1
27.9°, rel. 24, hkl 0 0 2
34.3°, rel. 29, hkl 0 6 1
35.8°, rel. 78, hkl 1 1 2
36.7°, rel. 100, hkl 1 5 1
43.4°, rel. 29, hkl 2 0 0
47.7°, rel. 27, hkl 0 4 3
55.3°, rel. 22, hkl 1 5 3
66.4°, rel. 20, hkl 2 4 3


# 6
Simulated powder X-ray diffraction pattern
Compound: Ca4ZnCd2Hg
Radiation: Cu Ka
Structure: a DFT-relaxed cell (PBE, Alexandria)
Intensities are scaled so that the largest is 100.

Structural model:
```
data_Ca4ZnCd2Hg
_chemical_formula_sum 'Ca12 Zn3 Cd6 Hg3'
_symmetry_space_group_name_H-M 'R -3 m'
_symmetry_Int_Tables_number 166
_symmetry_space_group_name_Hall '-R 3 2"'
_cell_length_a 5.3684
_cell_length_b 5.3684
_cell_length_c 26.2428
_cell_angle_alpha 90.00
_cell_angle_beta 90.00
_cell_angle_gamma 120.00
loop_
_atom_site_label
_atom_site_type_symbol
_atom_site_fract_x
_atom_site_fract_y
_atom_site_fract_z
Ca1 Ca 0.0000 0.0000 0.1242
Ca2 Ca 0.0000 0.0000 0.3743
Zn1 Zn 0.0000 0.0000 0.0000
Cd1 Cd 0.0000 0.0000 0.2508
Hg1 Hg 0.0000 0.0000 0.5000
```

Principal peaks in the range 2θ = 10–90°, by angle:
10.1°, rel. 8, hkl 0 0 3
19.4°, rel. 7, hkl 1 0 1
23.5°, rel. 29, hkl 1 0 4
33.4°, rel. 100, hkl 1 1 0
41.2°, rel. 9, hkl 0 2 4
48.0°, rel. 18, hkl 2 0 8
54.1°, rel. 13, hkl 2 1 4
59.7°, rel. 27, hkl 3 0 0
59.8°, rel. 9, hkl 1 0 16
80.0°, rel. 15, hkl 3 1 8


# 7
Simulated powder X-ray diffraction pattern
Compound: Na3NpU2Te6
Radiation: Cu Ka
Structure: a DFT-relaxed cell (PBE, Alexandria)
Intensities are scaled so that the largest is 100.

Structural model:
```
data_Na3NpU2Te6
_chemical_formula_sum 'Na6 Np2 U4 Te12'
_symmetry_space_group_name_H-M 'C 1 2/m 1'
_symmetry_Int_Tables_number 12
_cell_length_a 7.659
_cell_length_b 13.266
_cell_length_c 8.038
_cell_angle_alpha 90.00
_cell_angle_beta 108.52
_cell_angle_gamma 90.00
loop_
_symmetry_equiv_pos_as_xyz
'x,y,z'
'-x,-y,-z'
'-x,y,-z'
'x,-y,z'
'x+1/2,y+1/2,z'
'-x+1/2,-y+1/2,-z'
'-x+1/2,y+1/2,-z'
'x+1/2,-y+1/2,z'
loop_
_atom_site_label
_atom_site_type_symbol
_atom_site_fract_x
_atom_site_fract_y
_atom_site_fract_z
Na1 Na 0.000 0.000 0.000
Na2 Na 0.000 0.334 0.000
Np1 Np 0.000 0.500 0.500
U1 U 0.000 0.167 0.500
Te1 Te 0.244 0.000 0.737
Te2 Te 0.246 0.332 0.737
```

Principal peaks in the range 2θ = 10–90°, by angle:
11.6°, rel. 49, hkl 0 0 1
23.6°, rel. 23, hkl 1 3 0
28.0°, rel. 100, hkl 1 3 1
36.1°, rel. 13, hkl 1 3 2
39.3°, rel. 40, hkl 2 0 2
40.8°, rel. 37, hkl 0 6 0
42.6°, rel. 13, hkl 3 3 0
50.3°, rel. 20, hkl 4 0 0
64.6°, rel. 21, hkl 3 3 3
66.7°, rel. 17, hkl 4 6 0


# 8
Simulated powder X-ray diffraction pattern
Compound: CeDy4Tm10
Radiation: Cu Ka
Structure: a DFT-relaxed cell (PBE, Alexandria)
Intensities are scaled so that the largest is 100.

Structural model:
```
data_CeDy4Tm10
_chemical_formula_sum 'Ce2 Dy8 Tm20'
_symmetry_space_group_name_H-M 'I 4/m'
_symmetry_Int_Tables_number 87
_symmetry_space_group_name_Hall '-I 4'
_cell_length_a 9.677
_cell_length_b 9.677
_cell_length_c 10.465
_cell_angle_alpha 90.00
_cell_angle_beta 90.00
_cell_angle_gamma 90.00
loop_
_atom_site_label
_atom_site_type_symbol
_atom_site_fract_x
_atom_site_fract_y
_atom_site_fract_z
Ce1 Ce 0.000 0.000 0.000
Dy1 Dy 0.049 0.280 0.500
Tm1 Tm 0.000 0.500 0.250
Tm2 Tm 0.125 0.213 0.168
```

Principal peaks in the range 2θ = 10–90°, by angle:
27.2°, rel. 36, hkl 1 0 3
29.0°, rel. 26, hkl 3 0 1
29.2°, rel. 88, hkl 3 1 0
31.2°, rel. 21, hkl 2 2 2
33.0°, rel. 100, hkl 2 1 3
33.9°, rel. 51, hkl 3 1 2
41.7°, rel. 31, hkl 2 4 0
42.5°, rel. 28, hkl 2 3 3
61.2°, rel. 19, hkl 1 3 6
67.6°, rel. 23, hkl 5 4 3


# 9
Simulated powder X-ray diffraction pattern
Compound: Tl2P
Radiation: Cu Ka
Structure: a DFT-relaxed cell (PBE, Alexandria)
Intensities are scaled so that the largest is 100.

Structural model:
```
data_Tl2P
_chemical_formula_sum 'Tl8 P4'
_symmetry_space_group_name_H-M 'C m c m'
_symmetry_Int_Tables_number 63
_symmetry_space_group_name_Hall '-C 2c 2'
_cell_length_a 4.249
_cell_length_b 14.601
_cell_length_c 5.701
_cell_angle_alpha 90.00
_cell_angle_beta 90.00
_cell_angle_gamma 90.00
loop_
_atom_site_label
_atom_site_type_symbol
_atom_site_fract_x
_atom_site_fract_y
_atom_site_fract_z
Tl1 Tl 0.000 0.047 0.250
Tl2 Tl 0.000 0.308 0.250
P1 P 0.000 0.332 0.750
```

Principal peaks in the range 2θ = 10–90°, by angle:
26.9°, rel. 91, hkl 1 1 1
27.9°, rel. 100, hkl 1 3 0
29.0°, rel. 100, hkl 0 4 1
31.4°, rel. 61, hkl 0 0 2
40.7°, rel. 20, hkl 1 5 1
42.5°, rel. 91, hkl 2 0 0
51.4°, rel. 34, hkl 1 7 1
52.3°, rel. 41, hkl 2 4 1
53.8°, rel. 27, hkl 2 0 2
54.4°, rel. 18, hkl 0 4 3


# 10
Simulated powder X-ray diffraction pattern
Compound: BaNp2SeO4
Radiation: Cu Ka
Structure: a DFT-relaxed cell (PBE, Alexandria)
Intensities are scaled so that the largest is 100.

Structural model:
```
data_BaNp2SeO4
_chemical_formula_sum 'Ba1 Np2 Se1 O4'
_symmetry_space_group_name_H-M 'P 4/m m m'
_symmetry_Int_Tables_number 123
_symmetry_space_group_name_Hall '-P 4 2'
_cell_length_a 3.904
_cell_length_b 3.904
_cell_length_c 9.520
_cell_angle_alpha 90.00
_cell_angle_beta 90.00
_cell_angle_gamma 90.00
loop_
_atom_site_label
_atom_site_type_symbol
_atom_site_fract_x
_atom_site_fract_y
_atom_site_fract_z
Ba1 Ba 0.000 0.000 0.000
Np1 Np 0.500 0.500 0.299
Se1 Se 0.000 0.000 0.500
O1 O 0.000 0.500 0.198
```

Principal peaks in the range 2θ = 10–90°, by angle:
22.8°, rel. 17, hkl 1 0 0
24.6°, rel. 17, hkl 1 0 1
29.6°, rel. 100, hkl 1 0 2
32.4°, rel. 42, hkl 1 1 0
36.5°, rel. 17, hkl 1 0 3
43.4°, rel. 23, hkl 1 1 3
46.5°, rel. 23, hkl 2 0 0
53.5°, rel. 15, hkl 1 0 5
56.1°, rel. 34, hkl 2 1 2
73.6°, rel. 12, hkl 2 1 5


# 11
Simulated powder X-ray diffraction pattern
Compound: ZrNb3Ru4
Radiation: Cu Ka
Structure: a DFT-relaxed cell (PBE, Alexandria)
Intensities are scaled so that the largest is 100.

Structural model:
```
data_ZrNb3Ru4
_chemical_formula_sum 'Zr1 Nb3 Ru4'
_symmetry_space_group_name_H-M 'P m m m'
_symmetry_Int_Tables_number 47
_cell_length_a 3.363
_cell_length_b 4.436
_cell_length_c 8.839
_cell_angle_alpha 90.00
_cell_angle_beta 90.00
_cell_angle_gamma 90.00
loop_
_symmetry_equiv_pos_as_xyz
'x,y,z'
'-x,-y,-z'
'-x,-y,z'
'x,y,-z'
'x,-y,-z'
'-x,y,z'
'-x,y,-z'
'x,-y,z'
loop_
_atom_site_label
_atom_site_type_symbol
_atom_site_fract_x
_atom_site_fract_y
_atom_site_fract_z
Zr1 Zr 0.000 0.000 0.000
Nb1 Nb 0.000 0.000 0.500
Nb2 Nb 0.000 0.500 0.259
Ru1 Ru 0.500 0.000 0.254
Ru2 Ru 0.500 0.500 0.000
Ru3 Ru 0.500 0.500 0.500
```

Principal peaks in the range 2θ = 10–90°, by angle:
39.3°, rel. 100, hkl 1 1 2
40.7°, rel. 23, hkl 0 2 0
40.8°, rel. 22, hkl 0 0 4
54.6°, rel. 9, hkl 2 0 0
59.0°, rel. 15, hkl 0 2 4
70.3°, rel. 9, hkl 2 2 0
70.4°, rel. 9, hkl 2 0 4
73.1°, rel. 15, hkl 1 3 2
73.3°, rel. 15, hkl 1 1 6
84.6°, rel. 10, hkl 2 2 4


# 12
Simulated powder X-ray diffraction pattern
Compound: Tl2Se5
Radiation: Cu Ka
Structure: a DFT-relaxed cell (PBE, Alexandria)
Intensities are scaled so that the largest is 100.

Structural model:
```
data_Tl2Se5
_chemical_formula_sum 'Tl4 Se10'
_symmetry_space_group_name_H-M 'C 1 2/m 1'
_symmetry_Int_Tables_number 12
_cell_length_a 10.618
_cell_length_b 8.560
_cell_length_c 5.032
_cell_angle_alpha 90.00
_cell_angle_beta 116.32
_cell_angle_gamma 90.00
loop_
_symmetry_equiv_pos_as_xyz
'x,y,z'
'-x,-y,-z'
'-x,y,-z'
'x,-y,z'
'x+1/2,y+1/2,z'
'-x+1/2,-y+1/2,-z'
'-x+1/2,y+1/2,-z'
'x+1/2,-y+1/2,z'
loop_
_atom_site_label
_atom_site_type_symbol
_atom_site_fract_x
_atom_site_fract_y
_atom_site_fract_z
Tl1 Tl 0.185 0.000 0.358
Se1 Se 0.000 0.500 0.000
Se2 Se 0.089 0.273 0.752
```

Principal peaks in the range 2θ = 10–90°, by angle:
27.4°, rel. 49, hkl 1 1 1
28.0°, rel. 21, hkl 2 2 0
29.2°, rel. 100, hkl 2 2 -1
30.0°, rel. 33, hkl 3 1 0
33.9°, rel. 13, hkl 4 0 -1
38.2°, rel. 16, hkl 1 1 -2
41.2°, rel. 15, hkl 4 0 -2
42.2°, rel. 18, hkl 0 4 0
42.6°, rel. 14, hkl 3 3 0
49.0°, rel. 19, hkl 1 3 -2